[1]
Simulated powder diffractogram of CrTe for Cu Ka, from a crystal structure in the Materials Project, relaxed with GGA-PBE.

Main lines, low angle first (10 to 80 degrees two-theta):
h k l, d/Å, 2θ/deg, I/Imax
1 1 1, 3.303, 26.99, 29
2 0 0, 2.860, 31.27, 100
2 2 0, 2.023, 44.81, 72
3 1 1, 1.725, 53.09, 15
2 2 2, 1.651, 55.65, 25
4 0 0, 1.430, 65.23, 11
3 3 1, 1.312, 71.94, 6
4 2 0, 1.279, 74.12, 30

Atomic structure:
```
data_CrTe
_chemical_formula_sum 'Cr4 Te4'
_space_group_name_H-M_alt 'F m -3 m'
_space_group_IT_number 225
_space_group_name_Hall '-F 4 2 3'
_cell_length_a 5.7209
_cell_length_b 5.7209
_cell_length_c 5.7209
_cell_angle_alpha 90.00
_cell_angle_beta 90.00
_cell_angle_gamma 90.00
loop_
_atom_site_label
_atom_site_fract_x
_atom_site_fract_y
_atom_site_fract_z
Cr1 0.0000 0.0000 0.0000
Te1 0.0000 0.0000 0.5000
```

=====

[2]
Simulated powder diffractogram of NiPRh for Cu Ka, from a crystal structure in the Materials Project, relaxed with GGA-PBE.

Main lines, low angle first (10 to 80 degrees two-theta):
h k l, d/Å, 2θ/deg, I/Imax
1 1 0, 2.983, 29.95, 17
1 1 1, 2.282, 39.48, 100
2 0 1, 2.088, 43.34, 40
2 1 0, 1.953, 46.50, 29
0 0 2, 1.772, 51.57, 18
3 0 0, 1.722, 53.18, 19
3 1 1, 1.329, 70.94, 13
2 1 2, 1.312, 71.94, 15

Atomic structure:
```
data_NiPRh
_chemical_formula_sum 'Ni3 P3 Rh3'
_space_group_name_H-M_alt 'P -6 2 m'
_space_group_IT_number 189
_space_group_name_Hall 'P -6 -2'
_cell_length_a 5.9664
_cell_length_b 5.9664
_cell_length_c 3.5448
_cell_angle_alpha 90.00
_cell_angle_beta 90.00
_cell_angle_gamma 120.00
loop_
_atom_site_label
_atom_site_fract_x
_atom_site_fract_y
_atom_site_fract_z
Ni1 0.0000 0.2582 0.0000
P1 0.0000 0.0000 0.5000
P2 0.3333 0.6667 0.0000
Rh1 0.0000 0.6069 0.5000
```

=====

[3]
Simulated powder diffractogram of Tb3Sb5O12 for Cu Ka, from a crystal structure in the Materials Project, relaxed with GGA-PBE.

Main lines, low angle first (10 to 80 degrees two-theta):
h k l, d/Å, 2θ/deg, I/Imax
1 1 0, 7.711, 11.48, 16
2 2 2, 3.148, 28.35, 100
4 0 0, 2.726, 32.85, 35
4 4 0, 1.928, 47.15, 42
6 2 2, 1.644, 55.93, 38
4 4 4, 1.574, 58.65, 9
6 6 2, 1.251, 76.09, 13
8 4 0, 1.219, 78.44, 11

Atomic structure:
```
data_Tb3Sb5O12
_chemical_formula_sum 'Tb12 Sb20 O48'
_space_group_name_H-M_alt 'I -4 3 m'
_space_group_IT_number 217
_space_group_name_Hall 'I -4 2 3'
_cell_length_a 10.9048
_cell_length_b 10.9048
_cell_length_c 10.9048
_cell_angle_alpha 90.00
_cell_angle_beta 90.00
_cell_angle_gamma 90.00
loop_
_atom_site_label
_atom_site_fract_x
_atom_site_fract_y
_atom_site_fract_z
Tb1 0.0000 0.2500 0.5000
Sb1 0.0000 0.0000 0.2832
Sb2 0.2436 0.2436 0.7564
O1 0.1008 0.1008 0.6035
O2 0.1386 0.1386 0.3400
```

=====

[4]
Simulated powder diffractogram of V2Co9Mo for Cu Ka, from a crystal structure in the Materials Project, relaxed with GGA-PBE.

Main lines, low angle first (10 to 80 degrees two-theta):
h k l, d/Å, 2θ/deg, I/Imax
0 2 1, 2.165, 41.73, 37
2 0 2, 2.121, 42.63, 20
0 0 9, 2.034, 44.56, 53
0 2 4, 1.968, 46.12, 100
2 0 5, 1.873, 48.61, 86
0 2 7, 1.674, 54.83, 9
2 0 8, 1.578, 58.48, 12
2 2 0, 1.259, 75.54, 29

Atomic structure:
```
data_V2Co9Mo
_chemical_formula_sum 'V6 Co27 Mo3'
_space_group_name_H-M_alt 'R 3 m'
_space_group_IT_number 160
_space_group_name_Hall 'R 3 -2"'
_cell_length_a 5.0344
_cell_length_b 5.0344
_cell_length_c 18.3017
_cell_angle_alpha 90.00
_cell_angle_beta 90.00
_cell_angle_gamma 120.00
loop_
_atom_site_label
_atom_site_fract_x
_atom_site_fract_y
_atom_site_fract_z
V1 0.0000 0.0000 0.0000
V2 0.0000 0.0000 0.2181
Co1 0.0032 0.5016 0.9987
Co2 0.0104 0.5052 0.2231
Co3 0.1711 0.3422 0.1104
Mo1 0.0000 0.0000 0.7802
```